1.
Structure and computed X-ray diffraction stick pattern of Li3V3P4O16 (the PBE+U geometry in the Materials Project; Cu Ka).
Kinematic intensities with the Lorentz-polarization factor, no thermal factor.

Top 6 peaks for 2θ = 10–90°, sorted by position:
2theta  intensity  index
21.5  41  1 2 0
25.1  37  1 2 1
25.9  92  0 3 1
29.3  48  2 0 -1
31.7  100  0 3 2
33.0  53  1 1 -3

Unit cell a=6.1886 b=11.2874 c=8.7236 alpha=90.00 beta=100.84 gamma=90.00
Space group P2_1 (No. 4)
Symmetry-distinct sites (fractional):
Li (0.0912, 0.0000, 0.1533) x2
Li (0.1612, 0.6962, 0.4281) x2
Li (0.3497, 0.9170, 0.5648) x2
V (0.0792, 0.3958, 0.2254) x2
V (0.3865, 0.6171, 0.8366) x2
V (0.4025, 0.2168, 0.7632) x2
P (0.0651, 0.7165, 0.0886) x2
P (0.1316, 0.4381, 0.5853) x2
P (0.3650, 0.1743, 0.3975) x2
P (0.4570, 0.8988, 0.8987) x2
O (0.0115, 0.8407, 0.0152) x2
O (0.0810, 0.8694, 0.4202) x2
O (0.1050, 0.6235, 0.9679) x2
O (0.1221, 0.1735, 0.8252) x2
O (0.1358, 0.5412, 0.7056) x2
O (0.1525, 0.4954, 0.4273) x2
O (0.1610, 0.2536, 0.3430) x2
O (0.2364, 0.9105, 0.7820) x2
O (0.2762, 0.7175, 0.2206) x2
O (0.3398, 0.3608, 0.6479) x2
O (0.3505, 0.1206, 0.5594) x2
O (0.3631, 0.0741, 0.2735) x2
O (0.3718, 0.4354, 0.1997) x2
O (0.4133, 0.7374, 0.6054) x2
O (0.4641, 0.9879, 0.0314) x2
O (0.4900, 0.7691, 0.9656) x2

---

2.
Structure and computed X-ray diffraction stick pattern of Li4VP2O9 (the PBE+U geometry in the Materials Project; Cu Ka).
Kinematic intensities with the Lorentz-polarization factor, no thermal factor.

Top 6 peaks for 2θ = 10–90°, sorted by position:
2theta  intensity  index
12.1  72  0 2 0
12.2  78  0 0 1
18.9  88  1 1 1
25.6  83  1 3 1
27.5  57  0 2 2
29.0  100  2 0 1

Unit cell a=6.7917 b=14.6510 c=7.2351 alpha=90.00 beta=90.00 gamma=90.00
Space group Cmme (No. 67)
Symmetry-distinct sites (fractional):
Li (0.0000, 0.1147, 0.2276) x8
Li (0.2500, 0.0000, 0.5000) x4
Li (0.2500, 0.2500, 0.0000) x4
V (0.2500, 0.2500, 0.5000) x4
P (0.0000, 0.1118, 0.7715) x8
O (0.0000, 0.0110, 0.7172) x8
O (0.0000, 0.1435, 0.9743) x8
O (0.0000, 0.2500, 0.4017) x4
O (0.1927, 0.1526, 0.6824) x16

---

3.
Structure and computed X-ray diffraction stick pattern of LiVP2O7 (the PBE+U geometry in the Materials Project; Cu Ka).
Kinematic intensities with the Lorentz-polarization factor, no thermal factor.

Top 6 peaks for 2θ = 10–90°, sorted by position:
2theta  intensity  index
14.6  46  0 1 1
17.5  100  1 1 0
28.1  59  2 0 -2
29.3  33  1 2 1
29.5  88  0 2 2
29.6  41  1 1 2

Unit cell a=6.8545 b=8.1451 c=9.5819 alpha=90.00 beta=109.11 gamma=90.00
Space group P2_1/c (No. 14)
Symmetry-distinct sites (fractional):
Li (0.2098, 0.1293, 0.0381) x4
V (0.2827, 0.7259, 0.9934) x4
P (0.0567, 0.5382, 0.2059) x4
P (0.4653, 0.0823, 0.7057) x4
O (0.0662, 0.6796, 0.1040) x4
O (0.0959, 0.5896, 0.3689) x4
O (0.1441, 0.5592, 0.8468) x4
O (0.2307, 0.1001, 0.7104) x4
O (0.3925, 0.5806, 0.6327) x4
O (0.4786, 0.5818, 0.1329) x4
O (0.4850, 0.2310, 0.6130) x4

---

What did the first record say?
Structure and computed X-ray diffraction stick pattern of Li3V3P4O16 (the PBE+U geometry in the Materials Project; Cu Ka).
Kinematic intensities with the Lorentz-polarization factor, no thermal factor.

Top 6 peaks for 2θ = 10–90°, sorted by position:
2theta  intensity  index
21.5  41  1 2 0
25.1  37  1 2 1
25.9  92  0 3 1
29.3  48  2 0 -1
31.7  100  0 3 2
33.0  53  1 1 -3

Unit cell a=6.1886 b=11.2874 c=8.7236 alpha=90.00 beta=100.84 gamma=90.00
Space group P2_1 (No. 4)
Symmetry-distinct sites (fractional):
Li (0.0912, 0.0000, 0.1533) x2
Li (0.1612, 0.6962, 0.4281) x2
Li (0.3497, 0.9170, 0.5648) x2
V (0.0792, 0.3958, 0.2254) x2
V (0.3865, 0.6171, 0.8366) x2
V (0.4025, 0.2168, 0.7632) x2
P (0.0651, 0.7165, 0.0886) x2
P (0.1316, 0.4381, 0.5853) x2
P (0.3650, 0.1743, 0.3975) x2
P (0.4570, 0.8988, 0.8987) x2
O (0.0115, 0.8407, 0.0152) x2
O (0.0810, 0.8694, 0.4202) x2
O (0.1050, 0.6235, 0.9679) x2
O (0.1221, 0.1735, 0.8252) x2
O (0.1358, 0.5412, 0.7056) x2
O (0.1525, 0.4954, 0.4273) x2
O (0.1610, 0.2536, 0.3430) x2
O (0.2364, 0.9105, 0.7820) x2
O (0.2762, 0.7175, 0.2206) x2
O (0.3398, 0.3608, 0.6479) x2
O (0.3505, 0.1206, 0.5594) x2
O (0.3631, 0.0741, 0.2735) x2
O (0.3718, 0.4354, 0.1997) x2
O (0.4133, 0.7374, 0.6054) x2
O (0.4641, 0.9879, 0.0314) x2
O (0.4900, 0.7691, 0.9656) x2